1.
# CrSbOs2
Computed XRD peak list, Cu Kα. Input: the GGA-PBE geometry in Alexandria.
No peak broadening, texture or thermal motion is included.

Largest 6 diffraction maxima, low angle first, 2θ from 10° to 80°:
hkl 1 1 1, 24.66°, intensity 17.5; hkl 2 2 0, 40.82°, intensity 100.0; hkl 3 1 1, 48.28°, intensity 9.5; hkl 4 0 0, 59.10°, intensity 16.7; hkl 3 3 1, 65.02°, intensity 4.1; hkl 4 2 2, 74.32°, intensity 34.0

Structure:
abc: 6.253 6.253 6.253
angles: 90.00 90.00 90.00
Space group F-43m (No. 216)
Inequivalent atoms, fractional coordinates:
Cr  0.000  0.000  0.000
Sb  0.250  0.250  0.250
Os  0.000  0.000  0.500
Os  0.250  0.250  0.750


2.
# TiCrSb2Os
Computed XRD peak list, Cu Kα. Input: the GGA-PBE geometry in Alexandria.
No peak broadening, texture or thermal motion is included.

Largest 6 diffraction maxima, low angle first, 2θ from 10° to 80°:
hkl 1 0 0, 18.03°, intensity 43.7; hkl 1 1 1, 32.50°, intensity 100.0; hkl 2 0 0, 36.52°, intensity 57.6; hkl 0 0 2, 39.98°, intensity 22.3; hkl 2 0 2, 55.25°, intensity 33.9; hkl 3 1 1, 63.21°, intensity 29.4

Structure:
abc: 4.921 4.921 4.511
angles: 90.00 90.00 90.00
Space group P4/mmm (No. 123)
Inequivalent atoms, fractional coordinates:
Ti  0.000  0.000  0.000
Cr  0.500  0.500  0.500
Sb  0.000  0.500  0.500
Os  0.500  0.500  0.000


3.
# Sc2CrOs
Computed XRD peak list, Cu Kα. Input: the GGA-PBE geometry in Alexandria.
No peak broadening, texture or thermal motion is included.

Largest 6 diffraction maxima, low angle first, 2θ from 10° to 80°:
hkl 0 0 1, 10.81°, intensity 100.0; hkl 1 0 1, 31.98°, intensity 14.0; hkl 1 0 2, 37.34°, intensity 49.6; hkl 1 1 0, 42.96°, intensity 22.9; hkl 1 1 1, 44.43°, intensity 13.4; hkl 1 0 3, 45.06°, intensity 26.8

Structure:
abc: 2.978 2.978 8.188
angles: 90.00 90.00 90.00
Space group P4mm (No. 99)
Inequivalent atoms, fractional coordinates:
Sc  0.000  0.000  0.000
Sc  0.500  0.500  0.369
Cr  0.000  0.000  0.600
Os  0.500  0.500  0.765


4.
# Cr2TcOsSe
Computed XRD peak list, Cu Kα. Input: the GGA-PBE geometry in Alexandria.
No peak broadening, texture or thermal motion is included.

Largest 6 diffraction maxima, low angle first, 2θ from 10° to 80°:
hkl 1 0 0, 19.93°, intensity 100.0; hkl 1 1 0, 28.34°, intensity 65.8; hkl 1 1 1, 34.20°, intensity 90.7; hkl 0 0 2, 38.02°, intensity 51.0; hkl 2 0 0, 40.51°, intensity 85.1; hkl 2 0 2, 56.76°, intensity 61.7

Structure:
abc: 4.454 4.454 4.733
angles: 90.00 90.00 90.00
Space group P4/mmm (No. 123)
Inequivalent atoms, fractional coordinates:
Cr  0.000  0.500  0.000
Tc  0.000  0.000  0.000
Os  0.000  0.000  0.500
Se  0.500  0.500  0.500